(1)
For ThAgGeN, a structure optimized by DFT (GGA-PBE) gives the theoretical powder X-ray diffraction pattern in this record (Cu Kα).
Lines closer than 0.1° are merged.

Main lines, sorted by position (2θ = 10–80°):
| 2θ (°) | I_rel | index |
| --- | --- | --- |
| 12.6 | 12 | 0 0 2 |
| 25.4 | 30 | 0 0 4 |
| 27.6 | 29 | 1 0 1 |
| 33.1 | 100 | 1 0 3 |
| 38.3 | 45 | 1 1 0 |
| 46.5 | 24 | 1 1 4 |
| 53.5 | 26 | 1 0 7 |
| 55.3 | 15 | 2 0 0 |
| 55.5 | 14 | 1 1 6 |
| 65.9 | 28 | 2 1 3 |

Cell and atoms:
Lattice parameters (Å, degrees): 3.3242 3.3242 14.0018 90.00 90.00 90.00
Fractional coordinates of all 8 atoms:
Th 0.0000 0.0000 0.0000
Th 0.5000 0.5000 0.5000
Ag 0.0000 0.0000 0.7081
Ag 0.5000 0.5000 0.2081
Ge 0.0000 0.0000 0.3117
Ge 0.5000 0.5000 0.8117
N 0.0000 0.0000 0.5436
N 0.5000 0.5000 0.0436

---

(2)
For CaAcBi4Pb2, a structure optimized by DFT (GGA-PBE) gives the theoretical powder X-ray diffraction pattern in this record (Cu Kα).
Lines closer than 0.1° are merged.

Main lines, sorted by position (2θ = 10–80°):
| 2θ (°) | I_rel | index |
| --- | --- | --- |
| 15.2 | 7 | 1 0 1 |
| 30.7 | 100 | 2 0 2 |
| 34.1 | 38 | 2 2 0 |
| 38.4 | 14 | 0 0 4 |
| 49.0 | 14 | 4 0 0 |
| 52.3 | 23 | 2 2 4 |
| 59.0 | 33 | 4 2 2 |
| 64.0 | 13 | 4 0 4 |
| 64.8 | 12 | 2 0 6 |
| 71.9 | 5 | 4 4 0 |

Cell and atoms:
Lattice parameters (Å, degrees): 7.4309 7.4309 9.3666 90.00 90.00 90.00
Fractional coordinates of all 16 atoms:
Ca 0.0000 0.0000 0.0000
Ca 0.5000 0.5000 0.5000
Ac 0.0000 0.0000 0.5000
Ac 0.5000 0.5000 0.0000
Bi 0.2500 0.2500 0.2500
Bi 0.2500 0.2500 0.7500
Bi 0.2500 0.7500 0.2500
Bi 0.2500 0.7500 0.7500
Bi 0.7500 0.2500 0.2500
Bi 0.7500 0.2500 0.7500
Bi 0.7500 0.7500 0.2500
Bi 0.7500 0.7500 0.7500
Pb 0.0000 0.5000 0.0000
Pb 0.0000 0.5000 0.5000
Pb 0.5000 0.0000 0.0000
Pb 0.5000 0.0000 0.5000